# 1
PrAl20V2: calculated PXRD pattern (Cu Kα, 1.54184 Å), based on a structure optimized by DFT (GGA-PBE).
Peak positions follow from Bragg's law for the DFT cell and can differ from measured ones.

Structure:
Unit cell a=10.2883 b=10.2883 c=10.2883 alpha=60.00 beta=60.00 gamma=60.00
Sites, in units of the cell vectors:
Pr 0.1250 0.1250 0.1250
Pr 0.8750 0.8750 0.8750
Al 0.0000 0.0000 0.0000
Al 0.0000 0.0000 0.5000
Al 0.0000 0.5000 0.0000
Al 0.0559 0.3268 0.3268
Al 0.0559 0.3268 0.7905
Al 0.0559 0.7905 0.3268
Al 0.2095 0.6732 0.6732
Al 0.2095 0.6732 0.9441
Al 0.2095 0.9441 0.6732
Al 0.2379 0.2379 0.5121
Al 0.2379 0.5121 0.2379
Al 0.2379 0.5121 0.5121
Al 0.3268 0.0559 0.3268
Al 0.3268 0.0559 0.7905
Al 0.3268 0.3268 0.0559
Al 0.3268 0.3268 0.7905
Al 0.3268 0.7905 0.0559
Al 0.3268 0.7905 0.3268
Al 0.4879 0.4879 0.7621
Al 0.4879 0.7621 0.4879
Al 0.4879 0.7621 0.7621
Al 0.5000 0.0000 0.0000
Al 0.5121 0.2379 0.2379
Al 0.5121 0.2379 0.5121
Al 0.5121 0.5121 0.2379
Al 0.6732 0.2095 0.6732
Al 0.6732 0.2095 0.9441
Al 0.6732 0.6732 0.2095
Al 0.6732 0.6732 0.9441
Al 0.6732 0.9441 0.2095
Al 0.6732 0.9441 0.6732
Al 0.7621 0.4879 0.4879
Al 0.7621 0.4879 0.7621
Al 0.7621 0.7621 0.4879
Al 0.7905 0.0559 0.3268
Al 0.7905 0.3268 0.0559
Al 0.7905 0.3268 0.3268
Al 0.9441 0.2095 0.6732
Al 0.9441 0.6732 0.2095
Al 0.9441 0.6732 0.6732
V 0.0000 0.5000 0.5000
V 0.5000 0.0000 0.5000
V 0.5000 0.5000 0.0000
V 0.5000 0.5000 0.5000

Main lines, low angle first (2θ from 5° to 70°):
17.24 deg, I = 509
20.24 deg, I = 853
30.09 deg, I = 241
34.88 deg, I = 454
36.54 deg, I = 1000
39.16 deg, I = 663
40.66 deg, I = 929
41.15 deg, I = 686
48.03 deg, I = 201
53.44 deg, I = 451
63.63 deg, I = 196
65.41 deg, I = 256

---

# 2
ErB7Mo3: calculated PXRD pattern (Cu Kα, 1.54184 Å), based on a structure optimized by DFT (GGA-PBE).
Peak positions follow from Bragg's law for the DFT cell and can differ from measured ones.

Structure:
Unit cell a=11.0219 b=3.1043 c=12.8599 alpha=90.00 beta=90.00 gamma=90.00
Sites, in units of the cell vectors:
Er 0.0518 0.2500 0.1920
Er 0.4482 0.7500 0.6920
Er 0.5518 0.2500 0.3080
Er 0.9482 0.7500 0.8080
B 0.0107 0.7500 0.3618
B 0.0373 0.7500 0.0184
B 0.0676 0.7500 0.6162
B 0.1656 0.7500 0.3323
B 0.1863 0.7500 0.0670
B 0.2308 0.7500 0.5821
B 0.2499 0.2500 0.3263
B 0.2501 0.7500 0.8263
B 0.2692 0.2500 0.0821
B 0.3137 0.2500 0.5670
B 0.3344 0.2500 0.8323
B 0.4324 0.2500 0.1162
B 0.4627 0.2500 0.5184
B 0.4893 0.2500 0.8618
B 0.5107 0.7500 0.1382
B 0.5373 0.7500 0.4816
B 0.5676 0.7500 0.8838
B 0.6656 0.7500 0.1677
B 0.6863 0.7500 0.4330
B 0.7308 0.7500 0.9179
B 0.7499 0.2500 0.1737
B 0.7501 0.7500 0.6737
B 0.7692 0.2500 0.4179
B 0.8137 0.2500 0.9330
B 0.8344 0.2500 0.6677
B 0.9324 0.2500 0.3838
B 0.9627 0.2500 0.9816
B 0.9893 0.2500 0.6382
Mo 0.1179 0.2500 0.4731
Mo 0.1591 0.2500 0.9358
Mo 0.1846 0.2500 0.7019
Mo 0.3154 0.7500 0.2019
Mo 0.3409 0.7500 0.4358
Mo 0.3821 0.7500 0.9731
Mo 0.6179 0.2500 0.0269
Mo 0.6591 0.2500 0.5642
Mo 0.6846 0.2500 0.7981
Mo 0.8154 0.7500 0.2981
Mo 0.8409 0.7500 0.0642
Mo 0.8821 0.7500 0.5269

Main lines, low angle first (2θ from 5° to 70°):
22.25 deg, I = 353
28.93 deg, I = 629
33.12 deg, I = 1000
33.25 deg, I = 578
33.87 deg, I = 604
37.16 deg, I = 200
41.25 deg, I = 849
42.92 deg, I = 315
43.62 deg, I = 401
59.56 deg, I = 193
60.27 deg, I = 294
63.11 deg, I = 176